Diffraction record for ZnCrGe2As. The powder diffraction line list is calculated, not measured: it uses DFT lattice parameters and positions (PBE) and Cu Kα.
Neutral-atom scattering factors, no anomalous dispersion.

Atomic structure:
a b c (Å): 5.026 5.026 4.548
angles (deg): 90.00 90.00 90.00
Space group P4/mmm (No. 123)
Unique sites:
Zn 0.000 0.000 0.000 [1 per cell]
Cr 0.500 0.500 0.000 [1 per cell]
Ge 0.000 0.500 0.500 [2 per cell]
As 0.000 0.000 0.500 [1 per cell]

Largest 10 diffraction maxima, in order of falling intensity, 2θ from 10° to 80°:
hkl 2 0 0, 35.73°, d 2.513, I = 1000; hkl 1 1 1, 31.96°, d 2.800, I = 860; hkl 2 0 2, 54.42°, d 1.686, I = 572; hkl 1 0 0, 17.65°, d 5.026, I = 412; hkl 0 0 2, 39.63°, d 2.274, I = 373; hkl 2 2 0, 51.43°, d 1.777, I = 341; hkl 2 2 2, 66.82°, d 1.400, I = 300; hkl 3 1 1, 61.84°, d 1.500, I = 235; hkl 0 0 1, 19.52°, d 4.548, I = 192; hkl 1 0 1, 26.43°, d 3.372, I = 132

---

Diffraction record for HfCrAs. The powder diffraction line list is calculated, not measured: it uses DFT lattice parameters and positions (PBE) and Cu Kα.
Neutral-atom scattering factors, no anomalous dispersion.

Atomic structure:
a b c (Å): 9.374 3.555 6.086
angles (deg): 90.00 100.95 90.00
Space group Cm (No. 8)
Unique sites:
Hf 0.000 0.000 0.000 [2 per cell]
Hf 0.234 0.500 0.345 [2 per cell]
Cr 0.067 0.000 0.570 [2 per cell]
Cr 0.363 0.000 0.676 [2 per cell]
As 0.197 0.500 0.844 [2 per cell]
As 0.444 0.000 0.310 [2 per cell]

Largest 10 diffraction maxima, in order of falling intensity, 2θ from 10° to 80°:
hkl 1 1 -2, 39.18°, d 2.300, I = 1000; hkl 3 1 0, 38.77°, d 2.323, I = 592; hkl 1 1 1, 31.74°, d 2.819, I = 344; hkl 4 0 -2, 44.93°, d 2.018, I = 221; hkl 0 2 0, 51.41°, d 1.778, I = 215; hkl 3 1 -1, 39.56°, d 2.278, I = 207; hkl 1 1 0, 26.88°, d 3.316, I = 205; hkl 2 0 2, 38.94°, d 2.313, I = 204; hkl 2 0 1, 26.60°, d 3.351, I = 164; hkl 2 0 -1, 22.03°, d 4.035, I = 158